Diffraction record for CeV3O9. The PXRD pattern is theoretical, not measured: it uses a cell relaxed with GGA+U and Cu Kα X-rays.

Principal peaks in the range 2θ = 10–80°, by angle:
h k l	d (Å)	I (rel.)
1 1 0	7.220	29
0 2 0	6.031	49
0 0 2	3.836	100
1 3 0	3.672	83
2 2 1	3.266	61
3 1 1	2.725	39
1 3 2	2.652	31
3 5 1	1.827	28

```
data_CeV3O9
_chemical_formula_sum 'Ce4 V12 O36'
_cell_length_a 9.0122
_cell_length_b 12.0620
_cell_length_c 7.6717
_cell_angle_alpha 90.00
_cell_angle_beta 90.00
_cell_angle_gamma 90.00
_space_group_name_H-M_alt 'C 2 2 21'
_space_group_IT_number 20
loop_
_space_group_symop_operation_xyz
'x,y,z'
'-x,-y,z+1/2'
'x,-y,-z'
'-x,y,-z+1/2'
'x+1/2,y+1/2,z'
'-x+1/2,-y+1/2,z+1/2'
'x+1/2,-y+1/2,-z'
'-x+1/2,y+1/2,-z+1/2'
loop_
_atom_site_label
_atom_site_type_symbol
_atom_site_fract_x
_atom_site_fract_y
_atom_site_fract_z
Ce1 Ce 0.1028 0.0000 0.0000
V1 V 0.0319 0.3203 0.4711
V2 V 0.2430 0.5000 0.0000
O1 O 0.0000 0.3580 0.2500
O2 O 0.0161 0.1821 0.4940
O3 O 0.1219 0.3894 0.9278
O4 O 0.1398 0.0157 0.6775
O5 O 0.2001 0.3740 0.5290
```